Theoretical X-ray powder pattern of Nb3BC for Cu Kα (λ = 1.5418 Å), from a PBE-relaxed structure.
Intensities are scaled so that the largest is 100.

Cell and atoms:
```
data_Nb3BC
_chemical_formula_sum 'Nb6 B2 C2'
_space_group_name_H-M_alt 'P m m n'
_space_group_IT_number 59
_cell_length_a 3.3177
_cell_length_b 5.4800
_cell_length_c 7.3630
_cell_angle_alpha 90.00
_cell_angle_beta 90.00
_cell_angle_gamma 90.00
loop_
_space_group_symop_operation_xyz
'x,y,z'
'-x,-y,-z'
'-x+1/2,-y+1/2,z'
'x+1/2,y+1/2,-z'
'x+1/2,-y,-z'
'-x+1/2,y,z'
'-x,y+1/2,-z'
'x,-y+1/2,z'
loop_
_atom_site_label
_atom_site_fract_x
_atom_site_fract_y
_atom_site_fract_z
Nb1 0.2500 0.0069 0.1651
Nb2 0.2500 0.2500 0.5581
B1 0.2500 0.7500 0.6590
C1 0.2500 0.2500 0.9022
```

Largest 8 diffraction maxima, in order of rising 2θ, 5 to 70 degrees two-theta:
- 29.53 deg, intensity 46
- 31.52 deg, intensity 32
- 34.94 deg, intensity 71
- 36.46 deg, intensity 100
- 36.61 deg, intensity 50
- 41.06 deg, intensity 36
- 44.62 deg, intensity 94
- 67.49 deg, intensity 36

=====

Theoretical X-ray powder pattern of Nd3B9C2 for Cu Kα (λ = 1.5418 Å), from a PBE-relaxed structure.
Intensities are scaled so that the largest is 100.

Cell and atoms:
```
data_Nd3B9C2
_chemical_formula_sum 'Nd6 B18 C4'
_space_group_name_H-M_alt 'I m m m'
_space_group_IT_number 71
_space_group_name_Hall '-I 2 2'
_cell_length_a 3.1717
_cell_length_b 9.8178
_cell_length_c 11.0215
_cell_angle_alpha 90.00
_cell_angle_beta 90.00
_cell_angle_gamma 90.00
loop_
_atom_site_label
_atom_site_fract_x
_atom_site_fract_y
_atom_site_fract_z
Nd1 0.0000 0.0000 0.0000
Nd2 0.0000 0.0000 0.3214
B1 0.0000 0.2483 0.2136
B2 0.0000 0.2896 0.3669
B3 0.0000 0.5000 0.0000
C1 0.0000 0.2805 0.5000
```

Largest 8 diffraction maxima, in order of rising 2θ, 5 to 70 degrees two-theta:
- 18.07 deg, intensity 81
- 25.89 deg, intensity 100
- 29.60 deg, intensity 70
- 36.61 deg, intensity 30
- 36.78 deg, intensity 42
- 37.46 deg, intensity 40
- 39.57 deg, intensity 40
- 41.89 deg, intensity 65

=====

Theoretical X-ray powder pattern of Nd2Tc2B2C for Cu Kα (λ = 1.5418 Å), from a PBE-relaxed structure.
Intensities are scaled so that the largest is 100.

Cell and atoms:
```
data_Nd2Tc2B2C
_chemical_formula_sum 'Nd4 Tc4 B4 C2'
_space_group_name_H-M_alt 'C 1 2/m 1'
_space_group_IT_number 12
_space_group_name_Hall '-C 2y'
_cell_length_a 11.0540
_cell_length_b 3.7096
_cell_length_c 6.8620
_cell_angle_alpha 90.00
_cell_angle_beta 124.86
_cell_angle_gamma 90.00
loop_
_atom_site_label
_atom_site_fract_x
_atom_site_fract_y
_atom_site_fract_z
Nd1 0.0704 0.0000 0.3266
Tc1 0.2010 0.5000 0.0893
B1 0.1893 0.5000 0.7559
C1 0.0000 0.5000 0.0000
```

Largest 8 diffraction maxima, in order of rising 2θ, 5 to 70 degrees two-theta:
- 25.98 deg, intensity 71
- 27.34 deg, intensity 27
- 31.62 deg, intensity 77
- 33.73 deg, intensity 33
- 34.32 deg, intensity 93
- 36.64 deg, intensity 100
- 49.12 deg, intensity 28
- 56.45 deg, intensity 29